Simulated powder XRD pattern of Er6Pt2Pb for Cu Kα, 1.54184 Å, from a crystal structure in Alexandria, relaxed with GGA-PBE.
Kinematic intensities with the Lorentz-polarization factor, no thermal factor.

```
Er6Pt2Pb
1.0
-4.665 4.852 5.267
4.665 -4.852 5.267
4.665 4.852 -5.267
Er Pt Pb
12 4 2
Direct
0.028 0.235 0.794
0.183 0.294 0.477
0.183 0.706 0.889
0.330 0.025 0.694
0.330 0.636 0.306
0.441 0.235 0.206
0.559 0.765 0.794
0.670 0.364 0.694
0.670 0.975 0.306
0.817 0.294 0.111
0.817 0.706 0.523
0.972 0.765 0.206
0.135 0.635 0.500
0.341 0.000 0.341
0.659 0.000 0.659
0.865 0.365 0.500
0.000 0.000 0.000
0.500 0.500 0.000
```

Principal peaks in the range 5 to 70 degrees two-theta, in order of rising 2θ:
- d 4.665, 2θ 19.03, intensity 23
- d 2.834, 2θ 31.57, intensity 92
- d 2.695, 2θ 33.25, intensity 70
- d 2.643, 2θ 33.91, intensity 100
- d 2.577, 2θ 34.81, intensity 68
- d 2.541, 2θ 35.32, intensity 40
- d 2.330, 2θ 38.64, intensity 68
- d 2.314, 2θ 38.91, intensity 25
- d 1.596, 2θ 57.77, intensity 22
- d 1.545, 2θ 59.86, intensity 43